Record 1
# Li2Ga3Te6H12O24
Theoretical X-ray powder pattern, a wavelength of 1.5418 Å. Input: a cell relaxed with PBE.
Neutral-atom scattering factors, no anomalous dispersion.

Structural model:
a b c (Å): 10.171 10.171 10.171
angles (deg): 54.63 54.63 54.63
Element x y z (fractional)
Li 0.193 0.193 0.193
Li 0.807 0.807 0.807
Ga 0.306 0.306 0.306
Ga 0.500 0.500 0.500
Ga 0.694 0.694 0.694
Te 0.110 0.574 0.522
Te 0.426 0.478 0.890
Te 0.478 0.890 0.426
Te 0.522 0.110 0.574
Te 0.574 0.522 0.110
Te 0.890 0.426 0.478
H 0.008 0.969 0.611
H 0.031 0.389 0.992
H 0.162 0.793 0.617
H 0.207 0.383 0.838
H 0.383 0.838 0.207
H 0.389 0.992 0.031
H 0.611 0.008 0.969
H 0.617 0.162 0.793
H 0.793 0.617 0.162
H 0.838 0.207 0.383
H 0.969 0.611 0.008
H 0.992 0.031 0.389
O 0.033 0.846 0.652
O 0.083 0.427 0.267
O 0.154 0.348 0.967
O 0.160 0.360 0.523
O 0.267 0.083 0.427
O 0.275 0.466 0.624
O 0.348 0.967 0.154
O 0.360 0.523 0.160
O 0.376 0.725 0.534
O 0.427 0.267 0.083
O 0.466 0.624 0.275
O 0.477 0.840 0.640
O 0.523 0.160 0.360
O 0.534 0.376 0.725
O 0.573 0.733 0.917
O 0.624 0.275 0.466
O 0.640 0.477 0.840
O 0.652 0.033 0.846
O 0.725 0.534 0.376
O 0.733 0.917 0.573
O 0.840 0.640 0.477
O 0.846 0.652 0.033
O 0.917 0.573 0.733
O 0.967 0.154 0.348

Most intense lines, 10 to 90 degrees two-theta, in order of falling intensity:
Position (°2θ)	I (rel.)
11.47	100
22.26	25
28.01	19
32.83	16
23.05	16
35.54	15
30.05	13
28.17	13
32.40	12
12.91	11


Record 2
# LiGaSn2H
Theoretical X-ray powder pattern, a wavelength of 1.5418 Å. Input: a cell relaxed with PBE.
Neutral-atom scattering factors, no anomalous dispersion.

Structural model:
a b c (Å): 4.802 4.802 4.047
angles (deg): 90.00 90.00 90.00
Element x y z (fractional)
Li 0.000 0.000 0.000
Ga 0.500 0.500 0.000
Sn 0.000 0.500 0.500
Sn 0.500 0.000 0.500
H 0.000 0.000 0.500

Most intense lines, 10 to 90 degrees two-theta, in order of falling intensity:
Position (°2θ)	I (rel.)
34.48	100
37.45	41
65.67	32
26.24	26
59.76	21
21.96	20
54.01	14
43.84	14
44.79	12
72.70	12


Record 3
# LiYGaH2
Theoretical X-ray powder pattern, a wavelength of 1.5418 Å. Input: a cell relaxed with PBE.
Neutral-atom scattering factors, no anomalous dispersion.

Structural model:
a b c (Å): 4.005 4.005 4.700
angles (deg): 90.00 90.00 90.00
Element x y z (fractional)
Li 0.000 0.000 0.000
Y 0.500 0.500 0.500
Ga 0.000 0.000 0.500
H 0.000 0.500 0.000
H 0.500 0.000 0.000

Most intense lines, 10 to 90 degrees two-theta, in order of falling intensity:
Position (°2θ)	I (rel.)
18.88	100
37.06	78
31.59	63
50.47	33
49.48	31
45.29	24
38.30	20
60.77	20
78.16	16
87.50	13


Record 4
# LiZn2GaH
Theoretical X-ray powder pattern, a wavelength of 1.5418 Å. Input: a cell relaxed with PBE.
Neutral-atom scattering factors, no anomalous dispersion.

Structural model:
a b c (Å): 4.319 4.319 3.479
angles (deg): 90.00 90.00 90.00
Element x y z (fractional)
Li 0.000 0.000 0.000
Zn 0.000 0.500 0.500
Zn 0.500 0.000 0.500
Ga 0.500 0.500 0.000
H 0.000 0.000 0.500

Most intense lines, 10 to 90 degrees two-theta, in order of falling intensity:
Position (°2θ)	I (rel.)
39.25	100
41.83	43
74.65	28
20.56	24
69.37	18
33.06	16
60.64	13
52.61	11
84.40	10
29.24	9


Record 5
# MgGa2H8
Theoretical X-ray powder pattern, a wavelength of 1.5418 Å. Input: a cell relaxed with PBE.
Neutral-atom scattering factors, no anomalous dispersion.

Structural model:
a b c (Å): 7.072 7.072 8.672
angles (deg): 124.14 124.14 56.75
Element x y z (fractional)
Mg 0.008 0.992 0.750
Mg 0.992 0.008 0.250
Ga 0.163 0.647 0.956
Ga 0.353 0.837 0.544
Ga 0.647 0.163 0.456
Ga 0.837 0.353 0.044
H 0.101 0.241 0.028
H 0.109 0.693 0.770
H 0.151 0.720 0.340
H 0.241 0.101 0.528
H 0.280 0.849 0.160
H 0.307 0.891 0.730
H 0.313 0.380 0.941
H 0.380 0.313 0.441
H 0.620 0.687 0.559
H 0.687 0.620 0.059
H 0.693 0.109 0.270
H 0.720 0.151 0.840
H 0.759 0.899 0.472
H 0.849 0.280 0.660
H 0.891 0.307 0.230
H 0.899 0.759 0.972

Most intense lines, 10 to 90 degrees two-theta, in order of falling intensity:
Position (°2θ)	I (rel.)
25.62	100
33.80	77
24.44	66
20.54	32
18.51	32
37.98	32
26.52	30
44.63	28
16.70	26
26.71	23


Record 6
# MgGaH
Theoretical X-ray powder pattern, a wavelength of 1.5418 Å. Input: a cell relaxed with PBE.
Neutral-atom scattering factors, no anomalous dispersion.

Structural model:
a b c (Å): 3.206 3.206 8.041
angles (deg): 90.00 90.00 90.00
Element x y z (fractional)
Mg 0.250 0.250 0.145
Mg 0.750 0.750 0.855
Ga 0.250 0.250 0.609
Ga 0.750 0.750 0.391
H 0.250 0.750 0.000
H 0.750 0.250 0.000

Most intense lines, 10 to 90 degrees two-theta, in order of falling intensity:
Position (°2θ)	I (rel.)
35.83	100
11.00	63
39.77	38
69.63	27
44.04	18
61.67	17
57.50	13
41.39	13
30.01	12
45.10	11